Record 1
This entry pairs a crystal structure of Li3Lu with its theoretical PXRD pattern. Radiation: Cu Kα (weighted mean of Kα1 and Kα2). Structure: DFT lattice parameters and positions (PBE).
Intensities are scaled so that the largest is 100.

The 6 most intense peaks (15° ≤ 2θ ≤ 90°), in order of rising 2θ:
2θ/deg	d_spacing	I_rel
17.6	5.044	60
18.8	4.716	100
28.4	3.144	39
31.4	2.845	31
36.6	2.456	49
38.2	2.358	34

Structural model:
Lattice parameters (Å, degrees): 5.941 5.941 5.941 147.67 126.64 63.79
Sites, in units of the cell vectors:
Li1 0.000 0.000 0.000
Li2 0.226 0.726 0.500
Li3 0.774 0.274 0.500
Lu1 0.500 0.500 0.000

***

Record 2
This entry pairs a crystal structure of Li2LuNb2O7 with its theoretical PXRD pattern. Radiation: Cu Kα (weighted mean of Kα1 and Kα2). Structure: DFT lattice parameters and positions (PBE).
Intensities are scaled so that the largest is 100.

The 6 most intense peaks (15° ≤ 2θ ≤ 90°), in order of rising 2θ:
2θ/deg	d_spacing	I_rel
26.3	3.390	79
26.9	3.310	100
31.6	2.832	68
32.9	2.725	57
33.4	2.682	56
51.3	1.781	35

Structural model:
Lattice parameters (Å, degrees): 9.586 9.586 4.076 102.23 102.23 23.71
Sites, in units of the cell vectors:
Li1 0.000 0.000 0.000
Li2 0.529 0.529 0.530
Lu1 0.265 0.265 0.909
Nb1 0.650 0.650 0.172
Nb2 0.879 0.879 0.403
O1 0.178 0.178 0.201
O2 0.351 0.351 0.376
O3 0.547 0.547 0.041
O4 0.657 0.657 0.660
O5 0.765 0.765 0.161
O6 0.873 0.873 0.878
O7 0.982 0.982 0.477

***

Record 3
This entry pairs a crystal structure of LiLuS2O8 with its theoretical PXRD pattern. Radiation: Cu Kα (weighted mean of Kα1 and Kα2). Structure: DFT lattice parameters and positions (PBE).
Intensities are scaled so that the largest is 100.

The 6 most intense peaks (15° ≤ 2θ ≤ 90°), in order of rising 2θ:
2θ/deg	d_spacing	I_rel
16.8	5.274	100
19.3	4.609	100
22.7	3.921	37
30.8	2.899	64
39.4	2.289	35
49.6	1.838	27

Structural model:
Lattice parameters (Å, degrees): 7.459 7.459 5.861 90.00 90.00 90.00
Sites, in units of the cell vectors:
Li1 0.000 0.500 0.250
Li2 0.500 0.000 0.750
Lu1 0.000 0.500 0.750
Lu2 0.500 0.000 0.250
S1 0.225 0.275 0.250
S2 0.275 0.775 0.750
S3 0.725 0.225 0.750
S4 0.775 0.725 0.250
O1 0.089 0.790 0.837
O2 0.092 0.318 0.437
O3 0.182 0.408 0.063
O4 0.210 0.089 0.163
O5 0.290 0.589 0.663
O6 0.318 0.908 0.563
O7 0.408 0.818 0.937
O8 0.411 0.290 0.337
O9 0.589 0.710 0.337
O10 0.592 0.182 0.937
O11 0.682 0.092 0.563
O12 0.710 0.411 0.663
O13 0.790 0.911 0.163
O14 0.818 0.592 0.063
O15 0.908 0.682 0.437
O16 0.911 0.210 0.837